LaZnTcH6: simulated powder diffraction line list (Cu Kα X-rays), based on a DFT-relaxed cell (GGA-PBE, Alexandria).
Lines closer than 0.1° are merged.

Most intense lines, 2θ from 15° to 90°, sorted by position:
hkl	d (Å)	I/Imax
1 0 1	3.033	100.0
1 1 0	2.341	45.5
0 0 2	2.285	13.7
2 0 1	1.853	24.0
1 1 2	1.635	30.2
2 1 1	1.453	21.2
1 0 3	1.426	10.0
3 0 0	1.351	7.7
3 0 2	1.163	9.6
3 1 1	1.092	8.6

Atomic structure:
Lattice parameters (Å, degrees): 4.6812 4.6812 4.5697 90.00 90.00 120.00
Space group P-6m2 (No. 187)
Unique sites:
La  0.0000  0.0000  0.0000 (multiplicity 1)
Zn  0.3333  0.6667  0.5000 (multiplicity 1)
Tc  0.6667  0.3333  0.5000 (multiplicity 1)
H  0.5127  0.0253  0.2316 (multiplicity 6)